Entry 1:
Starting from a GGA+U-relaxed structure, the X-ray diffraction stick pattern of ZnNi4O6 was calculated for Cu Kα (weighted mean of Kα1 and Kα2).

Structure:
Cell: 5.090 5.090 14.899 Å, 90.00 90.00 146.74°
Positions (direct):
Zn: 0.157 0.843 0.750
Zn: 0.843 0.157 0.250
Ni: 0.096 0.904 0.135
Ni: 0.096 0.904 0.365
Ni: 0.364 0.636 0.045
Ni: 0.364 0.636 0.455
Ni: 0.636 0.364 0.545
Ni: 0.636 0.364 0.955
Ni: 0.904 0.096 0.635
Ni: 0.904 0.096 0.865
O: 0.000 0.000 0.000
O: 0.000 0.000 0.500
O: 0.197 0.803 0.250
O: 0.278 0.722 0.576
O: 0.278 0.722 0.924
O: 0.454 0.546 0.160
O: 0.454 0.546 0.340
O: 0.546 0.454 0.660
O: 0.546 0.454 0.840
O: 0.722 0.278 0.076
O: 0.722 0.278 0.424
O: 0.803 0.197 0.750

Most intense lines, 2θ = 10–80°, low angle first:
two_theta  d (Å)  I (rel.)
34.30  2.614  32.8
35.30  2.543  100.0
36.90  2.436  69.5
42.08  2.147  26.8
43.44  2.083  70.7
45.62  1.988  40.9
59.68  1.549  26.2
62.31  1.490  23.3

Entry 2:
Starting from a GGA+U-relaxed structure, the X-ray diffraction stick pattern of ZnNiO2 was calculated for Cu Kα (weighted mean of Kα1 and Kα2).

Structure:
Cell: 8.120 8.120 11.382 Å, 133.51 133.51 20.87°
Positions (direct):
Zn: 0.076 0.076 0.395
Zn: 0.326 0.326 0.247
Zn: 0.674 0.674 0.753
Zn: 0.924 0.924 0.605
Ni: 0.177 0.177 0.273
Ni: 0.409 0.409 0.080
Ni: 0.591 0.591 0.920
Ni: 0.823 0.823 0.727
O: 0.091 0.091 0.776
O: 0.156 0.156 0.075
O: 0.192 0.192 0.627
O: 0.410 0.410 0.728
O: 0.590 0.590 0.272
O: 0.808 0.808 0.373
O: 0.844 0.844 0.925
O: 0.909 0.909 0.224

Most intense lines, 2θ = 10–80°, low angle first:
two_theta  d (Å)  I (rel.)
21.87  4.064  35.9
31.41  2.848  51.7
34.96  2.566  48.9
35.16  2.552  100.0
35.49  2.529  46.0
42.14  2.145  37.1
50.72  1.800  40.9
50.95  1.792  50.2